Record 1
TmGa4NiPd2: simulated PXRD pattern (Cu Kα (weighted mean of Kα1 and Kα2)), based on the PBE geometry in Alexandria.

Cell and atoms:
Lattice parameters (Å, degrees): 8.8133 8.8133 8.8133 27.88 27.88 27.88
Sites, in units of the cell vectors:
1 Tm 0.0000 0.0000 0.0000
2 Ga 0.1351 0.1351 0.1351
3 Ga 0.3986 0.3986 0.3986
4 Ga 0.6014 0.6014 0.6014
5 Ga 0.8649 0.8649 0.8649
6 Ni 0.5000 0.5000 0.5000
7 Pd 0.2416 0.2416 0.2416
8 Pd 0.7584 0.7584 0.7584

Top 12 peaks for 5° ≤ 2θ ≤ 70°, low angle first:
two_theta	I (rel.)
24.46	7
28.04	18
30.00	27
34.73	13
37.42	98
42.58	100
42.72	7
46.44	10
53.08	9
57.96	27
61.90	13
63.88	6

---

Record 2
SmYHo5Th2: simulated PXRD pattern (Cu Kα (weighted mean of Kα1 and Kα2)), based on the PBE geometry in Alexandria.

Cell and atoms:
Lattice parameters (Å, degrees): 9.8894 9.8894 9.8894 127.51 127.51 77.42
Sites, in units of the cell vectors:
1 Sm 0.2500 0.7500 0.5000
2 Sm 0.7500 0.2500 0.5000
3 Y 0.2500 0.2500 0.0000
4 Y 0.7500 0.7500 0.0000
5 Ho 0.0000 0.0000 0.0000
6 Ho 0.0694 0.5694 0.9175
7 Ho 0.1519 0.0694 0.5000
8 Ho 0.3481 0.8481 0.9175
9 Ho 0.4306 0.3481 0.5000
10 Ho 0.5000 0.5000 0.0000
11 Ho 0.5694 0.6519 0.5000
12 Ho 0.6519 0.1519 0.0825
13 Ho 0.8481 0.9306 0.5000
14 Ho 0.9306 0.4306 0.0825
15 Th 0.1194 0.3806 0.5000
16 Th 0.3806 0.8806 0.2612
17 Th 0.6194 0.1194 0.7388
18 Th 0.8806 0.6194 0.5000

Top 12 peaks for 5° ≤ 2θ ≤ 70°, low angle first:
two_theta	I (rel.)
11.47	16
28.67	86
28.87	52
30.91	100
32.37	17
34.45	27
37.10	22
37.53	31
43.01	28
47.11	15
48.32	15
52.45	20

---

Record 3
Tl2ZnCrCl6: simulated PXRD pattern (Cu Kα (weighted mean of Kα1 and Kα2)), based on the PBE geometry in Alexandria.

Cell and atoms:
Lattice parameters (Å, degrees): 6.9324 7.2233 7.2296 119.45 118.13 90.90
Sites, in units of the cell vectors:
1 Tl 0.0000 0.0000 0.0000
2 Tl 0.4900 0.4897 0.9798
3 Zn 0.2172 0.7172 0.4353
4 Cr 0.7447 0.2449 0.4896
5 Cl 0.0327 0.4375 0.4976
6 Cl 0.4651 0.0603 0.4977
7 Cl 0.5093 0.5738 0.4969
8 Cl 0.5227 0.0231 0.0455
9 Cl 0.9790 0.4785 0.9574
10 Cl 0.9873 0.9230 0.4964

Top 12 peaks for 5° ≤ 2θ ≤ 70°, low angle first:
two_theta	I (rel.)
24.47	62
24.67	100
25.70	30
30.02	38
30.91	42
34.12	34
35.62	27
36.21	28
42.54	17
43.18	29
50.15	18
50.58	27

---

Record 4
Th4P6PbO24: simulated PXRD pattern (Cu Kα (weighted mean of Kα1 and Kα2)), based on the PBE geometry in Alexandria.

Cell and atoms:
Lattice parameters (Å, degrees): 6.9091 8.2971 9.4926 79.46 68.88 89.85
Sites, in units of the cell vectors:
1 Th 0.0000 0.0000 0.0000
2 Th 0.1147 0.0694 0.3812
3 Th 0.3034 0.5668 0.3859
4 Th 0.8044 0.4829 0.0019
5 P 0.1594 0.2830 0.6910
6 P 0.2759 0.3453 0.0741
7 P 0.4638 0.8416 0.0696
8 P 0.6541 0.2127 0.3174
9 P 0.8397 0.7172 0.3067
10 P 0.9778 0.7891 0.6896
11 Pb 0.4797 0.9120 0.6519
12 O 0.0574 0.8256 0.8147
13 O 0.1077 0.2598 0.5493
14 O 0.1421 0.4535 0.0033
15 O 0.1751 0.7904 0.5409
16 O 0.2032 0.1582 0.0994
17 O 0.2271 0.3592 0.2465
18 O 0.2779 0.1370 0.7428
19 O 0.2795 0.4524 0.6396
20 O 0.3287 0.8619 0.2364
21 O 0.3405 0.8762 0.9610
22 O 0.4561 0.0945 0.3908
23 O 0.5066 0.6545 0.0995
24 O 0.5093 0.3734 0.9819
25 O 0.6014 0.3966 0.2947
26 O 0.6056 0.6928 0.4030
27 O 0.6695 0.9475 0.0033
28 O 0.7794 0.1979 0.1469
29 O 0.7844 0.1763 0.4190
30 O 0.8449 0.6260 0.7541
31 O 0.8582 0.9310 0.6348
32 O 0.8872 0.6974 0.1368
33 O 0.9117 0.9045 0.2813
34 O 0.9610 0.2723 0.8405
35 O 0.9705 0.6105 0.3823

Top 12 peaks for 5° ≤ 2θ ≤ 70°, low angle first:
two_theta	I (rel.)
13.80	48
16.96	39
18.22	49
20.00	76
21.84	29
26.95	57
27.44	36
29.16	100
30.89	42
32.05	34
45.81	31
49.03	32

---

Record 5
La2Cd3Sn2: simulated PXRD pattern (Cu Kα (weighted mean of Kα1 and Kα2)), based on the PBE geometry in Alexandria.

Cell and atoms:
Lattice parameters (Å, degrees): 11.1385 11.1385 4.4348 90.00 90.00 157.59
Sites, in units of the cell vectors:
1 La 0.1618 0.8382 0.0000
2 La 0.8382 0.1618 0.0000
3 Cd 0.0000 0.0000 0.0000
4 Cd 0.4347 0.5653 0.5000
5 Cd 0.5653 0.4347 0.5000
6 Sn 0.2942 0.7058 0.5000
7 Sn 0.7058 0.2942 0.5000

Top 12 peaks for 5° ≤ 2θ ≤ 70°, low angle first:
two_theta	I (rel.)
29.11	100
31.38	19
31.79	40
35.47	81
38.72	14
40.69	26
41.73	24
53.40	18
54.47	9
55.05	32
59.70	16
68.52	12